Entry 1:
This entry pairs a crystal structure of Ac2WN7 with its theoretical powder diffraction line list. Radiation: a wavelength of 1.5418 Å. Structure: a DFT-relaxed cell (PBE, Alexandria).
Kinematic intensities with the Lorentz-polarization factor, no thermal factor.

Structural model:
```
data_Ac2WN7
_symmetry_space_group_name_H-M 'F m -3 m'
_symmetry_Int_Tables_number 225
_symmetry_space_group_name_Hall '-F 4 2 3'
_cell_length_a 7.996
_cell_length_b 7.996
_cell_length_c 7.996
_cell_angle_alpha 90.00
_cell_angle_beta 90.00
_cell_angle_gamma 90.00
loop_
_atom_site_label
_atom_site_fract_x
_atom_site_fract_y
_atom_site_fract_z
Ac1 0.250 0.250 0.250
W1 0.000 0.000 0.000
N1 0.000 0.000 0.251
N2 0.000 0.000 0.500
```

Peak list (8 most intense, 2θ from 5° to 70°, sorted by position)
| 2θ/deg | d [Å] | I/Imax | h k l |
| --- | --- | --- | --- |
| 19.2 | 4.616 | 166 | 1 1 1 |
| 22.2 | 3.998 | 145 | 2 0 0 |
| 31.7 | 2.827 | 1000 | 2 2 0 |
| 37.3 | 2.411 | 99 | 3 1 1 |
| 39.0 | 2.308 | 110 | 2 2 2 |
| 45.4 | 1.999 | 255 | 4 0 0 |
| 56.4 | 1.632 | 407 | 4 2 2 |
| 66.1 | 1.413 | 162 | 4 4 0 |

***

Entry 2:
This entry pairs a crystal structure of Ac2W2N7 with its theoretical powder diffraction line list. Radiation: a wavelength of 1.5418 Å. Structure: a DFT-relaxed cell (PBE, Alexandria).
Kinematic intensities with the Lorentz-polarization factor, no thermal factor.

Structural model:
```
data_Ac2W2N7
_symmetry_space_group_name_H-M 'P -1'
_symmetry_Int_Tables_number 2
_cell_length_a 5.006
_cell_length_b 6.229
_cell_length_c 6.691
_cell_angle_alpha 80.03
_cell_angle_beta 73.89
_cell_angle_gamma 84.72
loop_
_symmetry_equiv_pos_as_xyz
'x,y,z'
'-x,-y,-z'
loop_
_atom_site_label
_atom_site_fract_x
_atom_site_fract_y
_atom_site_fract_z
Ac1 0.151 0.349 0.249
W1 0.496 0.797 0.254
N1 0.143 0.711 0.365
N2 0.319 0.451 0.836
N3 0.416 0.091 0.503
N4 0.500 0.000 0.000
```

Peak list (8 most intense, 2θ from 5° to 70°, sorted by position)
| 2θ/deg | d [Å] | I/Imax | h k l |
| --- | --- | --- | --- |
| 20.0 | 4.444 | 433 | 1 0 1 |
| 22.9 | 3.887 | 305 | 1 1 1 |
| 23.0 | 3.870 | 759 | 1 1 0 |
| 26.5 | 3.364 | 1000 | 1 -1 1 |
| 28.1 | 3.176 | 891 | 0 0 2 |
| 29.3 | 3.051 | 677 | -1 1 1 |
| 30.4 | 2.945 | 745 | 0 2 1 |
| 37.7 | 2.386 | 562 | 2 1 1 |

***

Entry 3:
This entry pairs a crystal structure of Ac4W3N10 with its theoretical powder diffraction line list. Radiation: a wavelength of 1.5418 Å. Structure: a DFT-relaxed cell (PBE, Alexandria).
Kinematic intensities with the Lorentz-polarization factor, no thermal factor.

Structural model:
```
data_Ac4W3N10
_symmetry_space_group_name_H-M 'I 4/m m m'
_symmetry_Int_Tables_number 139
_symmetry_space_group_name_Hall '-I 4 2'
_cell_length_a 4.064
_cell_length_b 4.064
_cell_length_c 29.490
_cell_angle_alpha 90.00
_cell_angle_beta 90.00
_cell_angle_gamma 90.00
loop_
_atom_site_label
_atom_site_fract_x
_atom_site_fract_y
_atom_site_fract_z
Ac1 0.000 0.000 0.068
Ac2 0.000 0.000 0.201
W1 0.000 0.000 0.360
W2 0.000 0.000 0.500
N1 0.000 0.000 0.291
N2 0.000 0.000 0.431
N3 0.000 0.500 0.000
N4 0.000 0.500 0.138
```

Peak list (8 most intense, 2θ from 5° to 70°, sorted by position)
| 2θ/deg | d [Å] | I/Imax | h k l |
| --- | --- | --- | --- |
| 30.6 | 2.925 | 1000 | 1 0 7 |
| 31.1 | 2.874 | 561 | 1 1 0 |
| 42.9 | 2.106 | 93 | 0 0 14 |
| 44.6 | 2.032 | 261 | 2 0 0 |
| 54.0 | 1.699 | 153 | 1 1 14 |
| 55.0 | 1.669 | 403 | 2 1 7 |
| 63.6 | 1.462 | 114 | 2 0 14 |
| 64.9 | 1.437 | 85 | 2 2 0 |

***

Entry 4:
This entry pairs a crystal structure of Ac2W2N5 with its theoretical powder diffraction line list. Radiation: a wavelength of 1.5418 Å. Structure: a DFT-relaxed cell (PBE, Alexandria).
Kinematic intensities with the Lorentz-polarization factor, no thermal factor.

Structural model:
```
data_Ac2W2N5
_symmetry_space_group_name_H-M 'P 4/m m m'
_symmetry_Int_Tables_number 123
_symmetry_space_group_name_Hall '-P 4 2'
_cell_length_a 4.071
_cell_length_b 4.071
_cell_length_c 7.898
_cell_angle_alpha 90.00
_cell_angle_beta 90.00
_cell_angle_gamma 90.00
loop_
_atom_site_label
_atom_site_fract_x
_atom_site_fract_y
_atom_site_fract_z
Ac1 0.000 0.000 0.000
Ac2 0.000 0.000 0.500
W1 0.500 0.500 0.247
N1 0.000 0.500 0.266
N2 0.500 0.500 0.000
```

Peak list (8 most intense, 2θ from 5° to 70°, sorted by position)
| 2θ/deg | d [Å] | I/Imax | h k l |
| --- | --- | --- | --- |
| 31.1 | 2.879 | 484 | 1 1 0 |
| 31.6 | 2.835 | 1000 | 1 0 2 |
| 44.5 | 2.036 | 237 | 2 0 0 |
| 46.0 | 1.974 | 107 | 0 0 4 |
| 55.6 | 1.653 | 419 | 2 1 2 |
| 56.5 | 1.628 | 190 | 1 1 4 |
| 64.8 | 1.439 | 77 | 2 2 0 |
| 65.9 | 1.417 | 145 | 2 0 4 |

***

Entry 5:
This entry pairs a crystal structure of AcY2ZnN4 with its theoretical powder diffraction line list. Radiation: a wavelength of 1.5418 Å. Structure: a DFT-relaxed cell (PBE, Alexandria).
Kinematic intensities with the Lorentz-polarization factor, no thermal factor.

Structural model:
```
data_AcY2ZnN4
_symmetry_space_group_name_H-M 'C m c m'
_symmetry_Int_Tables_number 63
_symmetry_space_group_name_Hall '-C 2c 2'
_cell_length_a 3.521
_cell_length_b 11.748
_cell_length_c 11.847
_cell_angle_alpha 90.00
_cell_angle_beta 90.00
_cell_angle_gamma 90.00
loop_
_atom_site_label
_atom_site_fract_x
_atom_site_fract_y
_atom_site_fract_z
Ac1 0.000 0.105 0.250
Y1 0.000 0.368 0.050
Zn1 0.000 0.161 0.750
N1 0.000 0.000 0.000
N2 0.000 0.266 0.617
N3 0.000 0.437 0.250
```

Peak list (8 most intense, 2θ from 5° to 70°, sorted by position)
| 2θ/deg | d [Å] | I/Imax | h k l |
| --- | --- | --- | --- |
| 15.0 | 5.923 | 211 | 0 0 2 |
| 27.2 | 3.277 | 447 | 0 2 3 |
| 30.2 | 2.962 | 271 | 0 0 4 |
| 30.5 | 2.933 | 1000 | 0 4 0 |
| 35.1 | 2.557 | 396 | 1 3 1 |
| 37.6 | 2.395 | 424 | 1 3 2 |
| 49.1 | 1.856 | 202 | 1 5 2 |
| 52.1 | 1.756 | 270 | 1 3 5 |

***

Entry 6:
This entry pairs a crystal structure of Ac2ZnN with its theoretical powder diffraction line list. Radiation: a wavelength of 1.5418 Å. Structure: a DFT-relaxed cell (PBE, Alexandria).
Kinematic intensities with the Lorentz-polarization factor, no thermal factor.

Structural model:
```
data_Ac2ZnN
_symmetry_space_group_name_H-M 'C c c m'
_symmetry_Int_Tables_number 66
_symmetry_space_group_name_Hall '-C 2 2c'
_cell_length_a 5.953
_cell_length_b 13.574
_cell_length_c 6.177
_cell_angle_alpha 90.00
_cell_angle_beta 90.00
_cell_angle_gamma 90.00
loop_
_atom_site_label
_atom_site_fract_x
_atom_site_fract_y
_atom_site_fract_z
Ac1 0.212 0.102 0.000
Zn1 0.250 0.250 0.500
N1 0.000 0.000 0.250
```

Peak list (8 most intense, 2θ from 5° to 70°, sorted by position)
| 2θ/deg | d [Å] | I/Imax | h k l |
| --- | --- | --- | --- |
| 21.7 | 4.088 | 290 | 1 1 1 |
| 26.3 | 3.393 | 108 | 0 4 0 |
| 28.7 | 3.112 | 1000 | 1 3 1 |
| 28.9 | 3.088 | 270 | 0 0 2 |
| 30.0 | 2.977 | 199 | 2 0 0 |
| 42.2 | 2.143 | 181 | 2 0 2 |
| 51.1 | 1.788 | 208 | 1 3 3 |
| 52.5 | 1.743 | 126 | 3 3 1 |